Diffraction record for HoNbFe4. The powder diffractogram is computed, not measured: it uses a GGA-PBE-relaxed structure and a wavelength of 1.5418 Å.
Lines closer than 0.1° are merged.

Structure:
abc: 4.9679 4.9679 8.1569
angles: 90.00 90.00 120.00
Space group P-3m1 (No. 164)
Symmetry-distinct sites (fractional):
Ho 0.3333 0.6667 0.0675 x2
Nb 0.3333 0.6667 0.4445 x2
Fe 0.0000 0.0000 0.0000 x1
Fe 0.0000 0.0000 0.5000 x1
Fe 0.1677 0.3353 0.7359 x6

Top 6 peaks for 2θ from 10° to 80°, sorted by position:
2theta	I/Imax	hkl
36.2	60	1 1 0
39.2	95	0 1 3
42.6	100	1 1 2
43.5	61	0 2 1
67.1	37	1 2 3
72.8	26	2 0 5